Ac4Pr2Er3: computed powder XRD pattern (Cu Kα (weighted mean of Kα1 and Kα2)), based on a cell relaxed with PBE.
Peak positions follow from Bragg's law for the DFT cell and can differ from measured ones.

a = 6.465 Å, b = 6.465 Å, c = 11.254 Å
α = 105.71°, β = 105.71°, γ = 49.34°
Element x y z (fractional)
Ac (0.006, 0.006, 0.335)
Ac (0.334, 0.334, 0.112)
Ac (0.666, 0.666, 0.888)
Ac (0.994, 0.994, 0.665)
Pr (0.329, 0.329, 0.772)
Pr (0.671, 0.671, 0.228)
Er (0.000, 0.000, 0.000)
Er (0.336, 0.336, 0.450)
Er (0.664, 0.664, 0.550)

Main lines, sorted by position (2θ from 15° to 90°):
2theta	intensity
29.02	1000
33.20	177
33.46	172
34.24	163
47.86	128
48.43	125
56.77	156
57.07	75
57.17	74
58.09	74

=====

Rb2NaAg2F7: computed powder XRD pattern (Cu Kα (weighted mean of Kα1 and Kα2)), based on a cell relaxed with PBE.
Peak positions follow from Bragg's law for the DFT cell and can differ from measured ones.

a = 11.594 Å, b = 11.594 Å, c = 11.594 Å
α = 158.00°, β = 158.00°, γ = 31.30°
Element x y z (fractional)
Rb (0.182, 0.182, 0.000)
Rb (0.818, 0.818, 0.000)
Na (0.000, 0.000, 0.000)
Ag (0.405, 0.405, 0.000)
Ag (0.595, 0.595, 0.000)
F (0.089, 0.589, 0.500)
F (0.306, 0.306, 0.000)
F (0.411, 0.911, 0.500)
F (0.500, 0.500, 0.000)
F (0.589, 0.089, 0.500)
F (0.694, 0.694, 0.000)
F (0.911, 0.411, 0.500)

Main lines, sorted by position (2θ from 15° to 90°):
2theta	intensity
15.88	332
20.47	315
28.40	1000
28.54	729
40.80	521
41.74	199
50.20	166
50.45	403
58.76	184
66.85	208

=====

ThGa8Ni2: computed powder XRD pattern (Cu Kα (weighted mean of Kα1 and Kα2)), based on a cell relaxed with PBE.
Peak positions follow from Bragg's law for the DFT cell and can differ from measured ones.

a = 5.615 Å, b = 5.615 Å, c = 7.670 Å
α = 90.00°, β = 90.00°, γ = 90.00°
Element x y z (fractional)
Th (0.000, 0.000, 0.000)
Ga (0.255, 0.255, 0.309)
Ga (0.255, 0.255, 0.691)
Ga (0.255, 0.745, 0.309)
Ga (0.255, 0.745, 0.691)
Ga (0.745, 0.255, 0.309)
Ga (0.745, 0.255, 0.691)
Ga (0.745, 0.745, 0.309)
Ga (0.745, 0.745, 0.691)
Ni (0.000, 0.500, 0.500)
Ni (0.500, 0.000, 0.500)

Main lines, sorted by position (2θ from 15° to 90°):
2theta	intensity
15.78	330
19.59	506
25.26	669
28.18	224
34.00	233
35.10	221
39.79	1000
45.70	479
58.90	197
80.49	243

=====

Be2Pb: computed powder XRD pattern (Cu Kα (weighted mean of Kα1 and Kα2)), based on a cell relaxed with PBE.
Peak positions follow from Bragg's law for the DFT cell and can differ from measured ones.

a = 6.277 Å, b = 3.580 Å, c = 9.404 Å
α = 90.00°, β = 104.31°, γ = 90.00°
Element x y z (fractional)
Be (0.000, 0.000, 0.000)
Be (0.079, 0.000, 0.214)
Be (0.206, 0.500, 0.107)
Be (0.374, 0.000, 0.108)
Be (0.500, 0.500, 0.000)
Be (0.579, 0.500, 0.214)
Be (0.706, 0.000, 0.107)
Be (0.874, 0.500, 0.108)
Pb (0.098, 0.500, 0.795)
Pb (0.325, 0.500, 0.417)
Pb (0.598, 0.000, 0.795)
Pb (0.825, 0.000, 0.417)

Main lines, sorted by position (2θ from 15° to 90°):
2theta	intensity
19.48	812
28.55	526
28.94	785
29.40	730
31.06	369
31.77	875
32.96	1000
33.29	461
44.40	426
50.54	334

=====

Th6HgC4: computed powder XRD pattern (Cu Kα (weighted mean of Kα1 and Kα2)), based on a cell relaxed with PBE.
Peak positions follow from Bragg's law for the DFT cell and can differ from measured ones.

a = 6.642 Å, b = 6.642 Å, c = 20.245 Å
α = 90.00°, β = 90.00°, γ = 146.70°
Element x y z (fractional)
Th (0.000, 0.000, 0.000)
Th (0.000, 0.000, 0.500)
Th (0.138, 0.862, 0.750)
Th (0.276, 0.724, 0.078)
Th (0.276, 0.724, 0.422)
Th (0.459, 0.541, 0.647)
Th (0.459, 0.541, 0.853)
Th (0.541, 0.459, 0.147)
Th (0.541, 0.459, 0.353)
Th (0.724, 0.276, 0.578)
Th (0.724, 0.276, 0.922)
Th (0.862, 0.138, 0.250)
Hg (0.165, 0.835, 0.250)
Hg (0.835, 0.165, 0.750)
C (0.084, 0.916, 0.623)
C (0.084, 0.916, 0.877)
C (0.357, 0.643, 0.538)
C (0.357, 0.643, 0.962)
C (0.643, 0.357, 0.038)
C (0.643, 0.357, 0.462)
C (0.916, 0.084, 0.123)
C (0.916, 0.084, 0.377)

Main lines, sorted by position (2θ from 15° to 90°):
2theta	intensity
27.81	243
29.43	331
29.97	803
30.21	1000
31.90	390
32.83	801
47.80	256
55.81	239
57.46	268
59.97	265

=====

LiCu4P3O12: computed powder XRD pattern (Cu Kα (weighted mean of Kα1 and Kα2)), based on a cell relaxed with PBE.
Peak positions follow from Bragg's law for the DFT cell and can differ from measured ones.

a = 8.665 Å, b = 8.665 Å, c = 7.694 Å
α = 113.48°, β = 113.48°, γ = 88.11°
Element x y z (fractional)
Li (0.049, 0.951, 0.750)
Li (0.951, 0.049, 0.250)
Cu (0.065, 0.392, 0.673)
Cu (0.263, 0.737, 0.250)
Cu (0.392, 0.065, 0.173)
Cu (0.490, 0.510, 0.750)
Cu (0.510, 0.490, 0.250)
Cu (0.608, 0.935, 0.827)
Cu (0.737, 0.263, 0.750)
Cu (0.935, 0.608, 0.327)
P (0.119, 0.339, 0.093)
P (0.274, 0.726, 0.750)
P (0.339, 0.119, 0.593)
P (0.661, 0.881, 0.407)
P (0.726, 0.274, 0.250)
P (0.881, 0.661, 0.907)
O (0.014, 0.695, 0.132)
O (0.044, 0.405, 0.256)
O (0.153, 0.753, 0.560)
O (0.169, 0.184, 0.578)
O (0.184, 0.169, 0.078)
O (0.247, 0.847, 0.940)
O (0.263, 0.536, 0.729)
O (0.266, 0.482, 0.154)
O (0.305, 0.986, 0.368)
O (0.405, 0.044, 0.756)
O (0.464, 0.737, 0.771)
O (0.482, 0.266, 0.654)
O (0.518, 0.734, 0.346)
O (0.536, 0.263, 0.229)
O (0.595, 0.956, 0.244)
O (0.695, 0.014, 0.632)
O (0.734, 0.518, 0.846)
O (0.737, 0.464, 0.271)
O (0.753, 0.153, 0.060)
O (0.816, 0.831, 0.922)
O (0.831, 0.816, 0.422)
O (0.847, 0.247, 0.440)
O (0.956, 0.595, 0.744)
O (0.986, 0.305, 0.868)

Main lines, sorted by position (2θ from 15° to 90°):
2theta	intensity
20.24	154
25.24	1000
26.84	312
27.87	473
30.01	688
34.43	595
34.61	303
35.90	270
49.43	177
53.64	233

=====

Na3AcDy2O6: computed powder XRD pattern (Cu Kα (weighted mean of Kα1 and Kα2)), based on a cell relaxed with PBE.
Peak positions follow from Bragg's law for the DFT cell and can differ from measured ones.

a = 7.975 Å, b = 7.975 Å, c = 6.928 Å
α = 101.01°, β = 101.01°, γ = 25.53°
Element x y z (fractional)
Na (0.000, 0.000, 0.000)
Na (0.322, 0.322, 0.661)
Na (0.678, 0.678, 0.339)
Ac (0.000, 0.000, 0.500)
Dy (0.331, 0.331, 0.154)
Dy (0.669, 0.669, 0.846)
O (0.164, 0.164, 0.620)
O (0.180, 0.180, 0.068)
O (0.482, 0.482, 0.243)
O (0.518, 0.518, 0.757)
O (0.820, 0.820, 0.932)
O (0.836, 0.836, 0.380)

Main lines, sorted by position (2θ from 15° to 90°):
2theta	intensity
15.68	1000
29.01	192
29.67	390
30.86	646
31.66	209
35.30	281
36.38	530
39.35	158
51.05	187
52.13	174

=====

CaLaSb4: computed powder XRD pattern (Cu Kα (weighted mean of Kα1 and Kα2)), based on a cell relaxed with PBE.
Peak positions follow from Bragg's law for the DFT cell and can differ from measured ones.

a = 6.298 Å, b = 9.809 Å, c = 6.544 Å
α = 90.00°, β = 90.00°, γ = 90.00°
Element x y z (fractional)
Ca (0.000, 0.000, 0.000)
Ca (0.500, 0.500, 0.000)
La (0.000, 0.500, 0.500)
La (0.500, 0.000, 0.500)
Sb (0.250, 0.250, 0.244)
Sb (0.250, 0.250, 0.756)
Sb (0.250, 0.750, 0.244)
Sb (0.250, 0.750, 0.756)
Sb (0.750, 0.250, 0.244)
Sb (0.750, 0.250, 0.756)
Sb (0.750, 0.750, 0.244)
Sb (0.750, 0.750, 0.756)

Main lines, sorted by position (2θ from 15° to 90°):
2theta	intensity
18.09	437
21.58	406
32.91	936
33.82	1000
36.64	368
39.73	555
43.97	175
55.15	418
67.26	224
68.90	212

=====

Sn5SbSe4: computed powder XRD pattern (Cu Kα (weighted mean of Kα1 and Kα2)), based on a cell relaxed with PBE.
Peak positions follow from Bragg's law for the DFT cell and can differ from measured ones.

a = 7.461 Å, b = 7.461 Å, c = 7.461 Å
α = 99.42°, β = 99.42°, γ = 132.28°
Element x y z (fractional)
Sn (0.000, 0.000, 0.000)
Sn (0.197, 0.603, 0.804)
Sn (0.392, 0.197, 0.593)
Sn (0.603, 0.799, 0.407)
Sn (0.799, 0.392, 0.196)
Sb (0.500, 0.500, 0.000)
Se (0.109, 0.298, 0.401)
Se (0.298, 0.897, 0.189)
Se (0.708, 0.109, 0.811)
Se (0.897, 0.708, 0.599)

Main lines, sorted by position (2θ from 15° to 90°):
2theta	intensity
29.27	1000
29.60	488
41.87	381
42.11	749
52.11	404
68.79	174
68.97	174
69.49	173
76.63	260
77.13	131

=====

Al8ZnTc2: computed powder XRD pattern (Cu Kα (weighted mean of Kα1 and Kα2)), based on a cell relaxed with PBE.
Peak positions follow from Bragg's law for the DFT cell and can differ from measured ones.

a = 7.122 Å, b = 7.122 Å, c = 5.166 Å
α = 92.86°, β = 92.86°, γ = 43.38°
Element x y z (fractional)
Al (0.075, 0.075, 0.361)
Al (0.154, 0.654, 0.108)
Al (0.273, 0.273, 0.641)
Al (0.346, 0.846, 0.892)
Al (0.654, 0.154, 0.108)
Al (0.727, 0.727, 0.359)
Al (0.846, 0.346, 0.892)
Al (0.925, 0.925, 0.639)
Zn (0.500, 0.500, 0.500)
Tc (0.238, 0.238, 0.141)
Tc (0.762, 0.762, 0.859)

Main lines, sorted by position (2θ from 15° to 90°):
2theta	intensity
21.27	298
22.43	294
24.84	640
26.99	330
34.06	297
36.75	224
39.84	482
41.21	1000
43.25	568
43.98	535

=====

Er5PS4: computed powder XRD pattern (Cu Kα (weighted mean of Kα1 and Kα2)), based on a cell relaxed with PBE.
Peak positions follow from Bragg's law for the DFT cell and can differ from measured ones.

a = 6.732 Å, b = 6.732 Å, c = 6.732 Å
α = 99.58°, β = 99.58°, γ = 131.84°
Element x y z (fractional)
Er (0.000, 0.000, 0.000)
Er (0.205, 0.599, 0.804)
Er (0.401, 0.205, 0.606)
Er (0.599, 0.795, 0.394)
Er (0.795, 0.401, 0.196)
P (0.500, 0.500, 0.000)
S (0.099, 0.301, 0.400)
S (0.301, 0.901, 0.203)
S (0.699, 0.099, 0.797)
S (0.901, 0.699, 0.600)

Main lines, sorted by position (2θ from 15° to 90°):
2theta	intensity
28.12	857
32.58	1000
46.75	720
55.45	412
58.14	249
68.26	115
75.38	167
77.70	320
86.81	248

=====

PuBiO: computed powder XRD pattern (Cu Kα (weighted mean of Kα1 and Kα2)), based on a cell relaxed with PBE.
Peak positions follow from Bragg's law for the DFT cell and can differ from measured ones.

a = 8.226 Å, b = 8.226 Å, c = 8.226 Å
α = 106.77°, β = 106.77°, γ = 106.77°
Element x y z (fractional)
Pu (0.095, 0.229, 0.655)
Pu (0.229, 0.655, 0.095)
Pu (0.345, 0.905, 0.771)
Pu (0.655, 0.095, 0.229)
Pu (0.771, 0.345, 0.905)
Pu (0.905, 0.771, 0.345)
Bi (0.157, 0.489, 0.420)
Bi (0.420, 0.157, 0.489)
Bi (0.489, 0.420, 0.157)
Bi (0.511, 0.580, 0.843)
Bi (0.580, 0.843, 0.511)
Bi (0.843, 0.511, 0.580)
O (0.035, 0.358, 0.891)
O (0.109, 0.965, 0.642)
O (0.358, 0.891, 0.035)
O (0.642, 0.109, 0.965)
O (0.891, 0.035, 0.358)
O (0.965, 0.642, 0.109)

Main lines, sorted by position (2θ from 15° to 90°):
2theta	intensity
28.91	399
29.77	1000
34.26	705
35.99	88
48.67	236
49.79	184
57.60	146
58.60	222
59.09	106
61.83	89